For V5O7, a crystal structure in Alexandria, relaxed with PBE+U gives the computed powder X-ray diffraction pattern in this record (copper Kα).
No peak broadening, texture or thermal motion is included.

Structural model:
a = 5.3410 Å, b = 5.3410 Å, c = 18.9250 Å
α = 90.00°, β = 90.00°, γ = 147.05°
Positions (direct):
V  0.0000  0.0000  0.0000
V  0.0000  0.0000  0.5000
V  0.2668  0.7332  0.5757
V  0.2668  0.7332  0.9243
V  0.4761  0.5239  0.1578
V  0.4761  0.5239  0.3422
V  0.5239  0.4761  0.6578
V  0.5239  0.4761  0.8422
V  0.7332  0.2668  0.0757
V  0.7332  0.2668  0.4243
O  0.0991  0.9009  0.1031
O  0.0991  0.9009  0.3969
O  0.1475  0.8524  0.6525
O  0.1475  0.8524  0.8475
O  0.3532  0.6468  0.0264
O  0.3532  0.6468  0.4736
O  0.4833  0.5167  0.7500
O  0.5167  0.4833  0.2500
O  0.6468  0.3532  0.5264
O  0.6468  0.3532  0.9736
O  0.8524  0.1475  0.1525
O  0.8524  0.1475  0.3475
O  0.9009  0.0991  0.6031
O  0.9009  0.0991  0.8969

Largest 12 diffraction maxima, low angle first, 5 to 70 degrees two-theta:
2θ (°)	I/Imax
9.35	100
19.71	23
32.24	20
33.36	53
33.98	13
35.04	14
40.95	36
42.07	13
42.38	26
44.32	22
59.72	14
61.19	12